1.
Structure and simulated powder diffraction line list of HoEr3Ga2 (a cell relaxed with GGA-PBE; a wavelength of 1.5418 Å).
Lines closer than 0.1° are merged.

Atomic structure:
Lattice parameters (Å, degrees): 4.8919 9.3818 6.5517 90.00 90.00 90.00
Space group Pmc2_1 (No. 26)
Asymmetric unit:
Ho 0.0000 0.0491 0.0000 [2 per cell]
Er 0.0000 0.3198 0.6355 [2 per cell]
Er 0.5000 0.1819 0.2926 [2 per cell]
Er 0.5000 0.4504 0.9282 [2 per cell]
Ga 0.0000 0.3610 0.1743 [2 per cell]
Ga 0.5000 0.1390 0.7535 [2 per cell]

Most intense lines, 10 to 90 degrees two-theta, by intensity:
two_theta  I/Imax  (hkl)
34.0  100  1 3 0
34.3  92  1 1 2
36.7  81  2 0 0
32.9  63  1 0 2
29.7  50  1 2 1
33.4  37  0 2 2
61.0  31  1 4 3
31.7  29  0 3 1
64.1  27  1 6 1
39.9  27  0 3 2
50.5  23  2 2 2
55.3  21  2 3 2

=====

2.
Structure and simulated powder diffraction line list of Ho3ErGa4 (a cell relaxed with GGA-PBE; a wavelength of 1.5418 Å).
Lines closer than 0.1° are merged.

Atomic structure:
Lattice parameters (Å, degrees): 5.0173 5.0173 24.6510 90.00 90.00 120.00
Space group R-3m (No. 166, hexagonal axes)
Asymmetric unit:
Ho 0.0000 0.0000 0.0000 [3 per cell]
Ho 0.0000 0.0000 0.2498 [6 per cell]
Er 0.0000 0.0000 0.5000 [3 per cell]
Ga 0.0000 0.0000 0.1252 [6 per cell]
Ga 0.0000 0.0000 0.3752 [6 per cell]

Most intense lines, 10 to 90 degrees two-theta, by intensity:
two_theta  I/Imax  (hkl)
35.8  100  1 1 0
64.3  27  3 0 0
25.1  18  1 0 4
51.5  18  2 0 8
64.1  9  1 0 16
86.6  8  2 1 16
86.8  8  3 1 8
58.1  7  2 1 4
75.7  6  0 2 16
75.8  6  2 2 0
44.2  4  0 2 4
81.3  3  3 0 12